# 1
Starting from a DFT-relaxed cell (PBE, OQMD), the powder diffractogram of Tm4Ga12Pd was simulated for Cu Kα, 1.54184 Å.
Neutral-atom scattering factors, no anomalous dispersion.

Largest 6 diffraction maxima, sorted by position, 2θ = 10–90°:
2θ (°)  Rel. int.  index
29.5  392  2 2 0
36.4  1000  2 2 2
42.2  647  4 0 0
52.4  114  4 2 2
61.3  377  4 4 0
73.4  300  6 2 2

Structural model:
abc: 8.5566 8.5566 8.5566
angles: 90.00 90.00 90.00
Space group Im-3m (No. 229)
Inequivalent atoms, fractional coordinates:
Tm1 0.2500 0.2500 0.2500
Ga1 0.0000 0.0000 0.2963
Ga2 0.0000 0.2500 0.5000
Pd1 0.0000 0.0000 0.0000

# 2
Starting from a DFT-relaxed cell (PBE, OQMD), the powder diffractogram of Ba6Fe25S27 was simulated for Cu Kα, 1.54184 Å.
Neutral-atom scattering factors, no anomalous dispersion.

Largest 6 diffraction maxima, sorted by position, 2θ = 10–90°:
2θ (°)  Rel. int.  index
27.2  681  3 0 0
28.7  844  3 1 0
30.2  421  3 1 1
31.6  893  2 2 2
40.0  775  3 3 1
52.7  1000  4 4 0

Structural model:
abc: 9.8203 9.8203 9.8203
angles: 90.00 90.00 90.00
Space group Pm-3m (No. 221)
Inequivalent atoms, fractional coordinates:
Ba1 0.0000 0.0000 0.3066
Fe1 0.1404 0.3670 0.3670
Fe2 0.5000 0.5000 0.5000
S1 0.0000 0.0000 0.0000
S2 0.0000 0.2563 0.5000
S3 0.2236 0.2236 0.2236
S4 0.2643 0.5000 0.5000

# 3
Starting from a DFT-relaxed cell (PBE, OQMD), the powder diffractogram of Dy was simulated for Cu Kα, 1.54184 Å.
Neutral-atom scattering factors, no anomalous dispersion.

Largest 6 diffraction maxima, sorted by position, 2θ = 10–90°:
2θ (°)  Rel. int.  index
29.2  367  1 0 1
31.4  501  0 0 9
32.2  1000  1 0 4
33.9  874  0 1 5
51.3  382  1 1 0
61.4  446  1 1 9

Structural model:
abc: 3.5591 3.5591 25.6204
angles: 90.00 90.00 120.00
Space group R-3m (No. 166, hexagonal axes)
Inequivalent atoms, fractional coordinates:
Dy1 0.0000 0.0000 0.0000
Dy2 0.0000 0.0000 0.2222

# 4
Starting from a DFT-relaxed cell (PBE, OQMD), the powder diffractogram of LaSmNi6B2Pt2 was simulated for Cu Kα, 1.54184 Å.
Neutral-atom scattering factors, no anomalous dispersion.

Largest 6 diffraction maxima, sorted by position, 2θ = 10–90°:
2θ (°)  Rel. int.  index
12.3  238  0 0 1
34.5  459  1 1 0
36.8  404  1 1 1
43.0  1000  1 1 2
62.9  237  1 1 4
67.7  256  3 0 2

Structural model:
abc: 5.1924 5.1924 7.1857
angles: 90.00 90.00 120.00
Space group P6/mmm (No. 191)
Inequivalent atoms, fractional coordinates:
La1 0.0000 0.0000 0.0000
Sm1 0.0000 0.0000 0.5000
Ni1 0.0000 0.5000 0.3072
B1 0.3333 0.6667 0.5000
Pt1 0.3333 0.6667 0.0000

# 5
Starting from a DFT-relaxed cell (PBE, OQMD), the powder diffractogram of Pr2Ho2CI2BrCl2 was simulated for Cu Kα, 1.54184 Å.
Neutral-atom scattering factors, no anomalous dispersion.

Largest 6 diffraction maxima, sorted by position, 2θ = 10–90°:
2θ (°)  Rel. int.  index
10.0  316  2 0 0
28.4  351  3 1 -1
30.4  531  6 0 0
30.8  461  3 1 1
31.5  1000  1 1 -2
44.7  323  7 1 -2

Structural model:
abc: 18.0214 3.9017 8.2830
angles: 90.00 101.95 90.00
Space group C2/m (No. 12)
Inequivalent atoms, fractional coordinates:
Pr1 0.1434 0.0000 0.0651
Ho1 0.0026 0.5000 0.8029
C1 0.0000 0.0000 0.0000
I1 0.1654 0.5000 0.3668
Br1 0.0000 0.0000 0.5000
Cl1 0.1606 0.5000 0.8190

# 6
Starting from a DFT-relaxed cell (PBE, OQMD), the powder diffractogram of CuAg4 was simulated for Cu Kα, 1.54184 Å.
Neutral-atom scattering factors, no anomalous dispersion.

Largest 6 diffraction maxima, sorted by position, 2θ = 10–90°:
2θ (°)  Rel. int.  index
38.1  1000  1 1 0
38.4  898  0 1 5
44.2  593  1 0 5
45.0  306  0 2 0
65.0  353  1 2 5
77.1  212  2 1 5

Structural model:
abc: 2.9133 4.0264 14.4011
angles: 90.00 90.00 90.00
Space group Pmmn (No. 59, origin choice 2)
Inequivalent atoms, fractional coordinates:
Cu1 0.2500 0.2500 0.0449
Ag1 0.2500 0.2500 0.2393
Ag2 0.2500 0.2500 0.4479
Ag3 0.2500 0.2500 0.6561
Ag4 0.2500 0.2500 0.8649

# 7
Starting from a DFT-relaxed cell (PBE, OQMD), the powder diffractogram of GdYTlAu2 was simulated for Cu Kα, 1.54184 Å.
Neutral-atom scattering factors, no anomalous dispersion.

Largest 6 diffraction maxima, sorted by position, 2θ = 10–90°:
2θ (°)  Rel. int.  index
32.3  1000  1 1 1
34.7  449  1 0 4
36.1  807  0 1 5
39.6  407  0 2 0
44.3  344  1 1 5
63.9  311  2 1 5

Structural model:
abc: 3.5934 4.5558 14.8628
angles: 90.00 90.00 90.00
Space group Amm2 (No. 38)
Inequivalent atoms, fractional coordinates:
Gd1 0.0000 0.0000 0.0000
Y1 0.0000 0.0000 0.2598
Tl1 0.5000 0.0000 0.6303
Au1 0.5000 0.0000 0.4340
Au2 0.5000 0.0000 0.8254

# 8
Starting from a DFT-relaxed cell (PBE, OQMD), the powder diffractogram of SmGaSiIr3 was simulated for Cu Kα, 1.54184 Å.
Neutral-atom scattering factors, no anomalous dispersion.

Largest 6 diffraction maxima, sorted by position, 2θ = 10–90°:
2θ (°)  Rel. int.  index
30.1  662  1 0 1
36.9  1000  2 0 0
40.1  695  1 1 1
44.3  597  2 0 1
62.5  440  2 0 2
86.5  273  2 2 2

Structural model:
abc: 5.6247 5.6247 3.7497
angles: 90.00 90.00 120.00
Space group P-6m2 (No. 187)
Inequivalent atoms, fractional coordinates:
Sm1 0.0000 0.0000 0.0000
Ga1 0.6667 0.3333 0.0000
Si1 0.3333 0.6667 0.0000
Ir1 0.0063 0.5032 0.5000

# 9
Starting from a DFT-relaxed cell (PBE, OQMD), the powder diffractogram of DyErGa6 was simulated for Cu Kα, 1.54184 Å.
Neutral-atom scattering factors, no anomalous dispersion.

Largest 6 diffraction maxima, sorted by position, 2θ = 10–90°:
2θ (°)  Rel. int.  index
25.6  245  1 0 1
33.1  253  2 0 0
38.7  1000  2 0 1
39.6  221  0 0 2
59.2  168  2 2 0
73.6  174  2 2 2

Structural model:
abc: 6.2443 6.2443 4.5492
angles: 90.00 90.00 120.00
Space group P-6m2 (No. 187)
Inequivalent atoms, fractional coordinates:
Dy1 0.0000 0.0000 0.0000
Er1 0.3333 0.6667 0.5000
Ga1 0.3698 0.1849 0.5000
Ga2 0.5180 0.0360 0.0000